Calculated X-ray powder pattern
Compound: Nd3Cu2Si4
Radiation: Cu Kα (λ = 1.5418 Å)
Structure: a cell relaxed with PBE

Cell and atoms:
Cell: 10.972 4.102 8.219 Å, 90.00 99.40 90.00°
Space group C2/m (No. 12)
Asymmetric unit:
Nd 0.000 0.000 0.000 x2
Nd 0.162 0.500 0.668 x4
Cu 0.111 0.500 0.281 x4
Si 0.059 0.000 0.389 x4
Si 0.218 0.500 0.059 x4

Peak list (8 most intense, 2θ = 10–80°, sorted by position)
| 2θ/deg | Rel. int. |
| --- | --- |
| 25.10 | 20 |
| 33.09 | 100 |
| 43.12 | 12 |
| 44.15 | 11 |
| 44.34 | 22 |
| 56.30 | 15 |
| 63.56 | 15 |
| 72.68 | 10 |